Structure and calculated PXRD pattern of Tm5SiS5 (a cell relaxed with PBE; Cu Kα X-rays).
Lines closer than 0.1° are merged.

Top 12 peaks for 5 to 70 degrees two-theta, by angle:
17.8 deg, I 12.1, hkl 1 1 0
20.1 deg, I 9.8, hkl 1 1 -1
28.0 deg, I 100.0, hkl 1 1 -2
32.4 deg, I 90.4, hkl 4 0 -2
32.6 deg, I 44.8, hkl 0 2 0
46.5 deg, I 16.1, hkl 6 0 0
46.6 deg, I 80.8, hkl 4 2 -2
55.2 deg, I 24.7, hkl 7 1 -2
55.5 deg, I 16.3, hkl 1 3 -2
57.9 deg, I 17.2, hkl 6 2 0
58.0 deg, I 16.8, hkl 2 2 -4
67.9 deg, I 10.2, hkl 8 0 -4

Structure:
Cell lengths 12.3580, 5.4898, 7.7991 Å; angles 90.00, 108.36, 90.00 degrees
Space group C2/m (No. 12)
Asymmetric unit:
Tm 0.0000 0.0000 0.0000 (multiplicity 2)
Tm 0.1605 0.5000 0.8249 (multiplicity 4)
Tm 0.1646 0.5000 0.3356 (multiplicity 4)
Si 0.0000 0.5000 0.0000 (multiplicity 2)
S 0.0000 0.5000 0.5000 (multiplicity 2)
S 0.1713 0.0000 0.3337 (multiplicity 4)
S 0.1722 0.0000 0.8405 (multiplicity 4)

=====

Structure and calculated PXRD pattern of SrRuCl2 (a cell relaxed with PBE; Cu Kα X-rays).
Lines closer than 0.1° are merged.

Top 12 peaks for 5 to 70 degrees two-theta, by angle:
18.6 deg, I 5.7, hkl 1 0 1
23.0 deg, I 13.0, hkl 0 0 4
27.6 deg, I 100.0, hkl 1 1 2
35.7 deg, I 11.4, hkl 2 0 0
42.9 deg, I 43.6, hkl 2 0 4
43.3 deg, I 28.5, hkl 1 1 6
46.9 deg, I 9.4, hkl 0 0 8
51.4 deg, I 11.0, hkl 2 2 0
57.0 deg, I 7.5, hkl 2 2 4
59.4 deg, I 20.7, hkl 3 1 2
65.8 deg, I 8.0, hkl 1 1 10
69.5 deg, I 12.8, hkl 3 1 6

Structure:
Cell lengths 5.0250, 5.0250, 15.4842 Å; angles 90.00, 90.00, 90.00 degrees
Space group I-42d (No. 122)
Asymmetric unit:
Sr 0.0000 0.0000 0.0000 (multiplicity 4)
Ru 0.0000 0.0000 0.5000 (multiplicity 4)
Cl 0.1715 0.2500 0.6250 (multiplicity 8)

=====

Structure and calculated PXRD pattern of K2NpVN4 (a cell relaxed with PBE; Cu Kα X-rays).
Lines closer than 0.1° are merged.

Top 12 peaks for 5 to 70 degrees two-theta, by angle:
11.2 deg, I 100.0, hkl 0 1 0
19.5 deg, I 28.8, hkl 0 1 1
20.8 deg, I 57.8, hkl 1 0 1
23.7 deg, I 72.6, hkl 1 1 1
26.3 deg, I 23.3, hkl 1 2 0
27.7 deg, I 79.8, hkl 0 2 1
29.3 deg, I 63.0, hkl 2 1 0
32.1 deg, I 37.9, hkl 0 0 2
33.5 deg, I 34.0, hkl 2 1 1
36.8 deg, I 34.5, hkl 1 3 0
44.0 deg, I 38.9, hkl 2 1 2
47.1 deg, I 32.9, hkl 2 3 1

Structure:
Cell lengths 6.6148, 7.8800, 5.5699 Å; angles 90.00, 90.00, 90.00 degrees
Space group Pmn2_1 (No. 31)
Asymmetric unit:
K 0.2317 0.1272 0.0000 (multiplicity 4)
Np 0.0000 0.4035 0.5457 (multiplicity 2)
V 0.0000 0.6642 0.9394 (multiplicity 2)
N 0.0000 0.4350 0.9364 (multiplicity 2)
N 0.0000 0.6584 0.6157 (multiplicity 2)
N 0.2454 0.7626 0.0240 (multiplicity 4)

=====

Structure and calculated PXRD pattern of Ce2AlCd16 (a cell relaxed with PBE; Cu Kα X-rays).
Lines closer than 0.1° are merged.

Top 12 peaks for 5 to 70 degrees two-theta, by angle:
29.6 deg, I 8.2, hkl 1 2 2
30.7 deg, I 27.1, hkl 3 0 0
31.6 deg, I 10.4, hkl 0 2 4
35.6 deg, I 28.1, hkl 2 2 0
35.7 deg, I 100.0, hkl 0 3 3
36.2 deg, I 28.3, hkl 0 0 6
36.5 deg, I 15.4, hkl 2 0 5
40.1 deg, I 34.2, hkl 2 2 3
40.5 deg, I 8.5, hkl 1 1 6
63.8 deg, I 14.2, hkl 6 0 0
64.8 deg, I 16.4, hkl 0 3 9
69.8 deg, I 9.5, hkl 2 5 3

Structure:
Cell lengths 10.1011, 10.1011, 14.8796 Å; angles 90.00, 90.00, 120.00 degrees
Space group R3m (No. 160, hexagonal axes)
Asymmetric unit:
Ce 0.0000 0.0000 0.0000 (multiplicity 3)
Ce 0.0000 0.0000 0.3445 (multiplicity 3)
Al 0.0000 0.0000 0.5749 (multiplicity 3)
Cd 0.0000 0.0000 0.7657 (multiplicity 3)
Cd 0.0008 0.3047 0.6730 (multiplicity 18)
Cd 0.0212 0.5106 0.5241 (multiplicity 9)
Cd 0.0328 0.5164 0.1691 (multiplicity 9)
Cd 0.0526 0.5263 0.8273 (multiplicity 9)

=====

Structure and calculated PXRD pattern of Li2Au (a cell relaxed with PBE; Cu Kα X-rays).
Lines closer than 0.1° are merged.

Top 12 peaks for 5 to 70 degrees two-theta, by angle:
24.7 deg, I 100.0, hkl 1 1 0
30.2 deg, I 54.9, hkl 1 0 1
36.5 deg, I 8.8, hkl 1 1 1
39.4 deg, I 30.0, hkl 2 0 1
43.4 deg, I 25.7, hkl 3 0 0
47.0 deg, I 34.7, hkl 2 1 1
50.6 deg, I 15.2, hkl 2 2 0
54.6 deg, I 4.6, hkl 0 0 2
60.1 deg, I 15.7, hkl 3 1 1
60.8 deg, I 17.3, hkl 1 1 2
65.9 deg, I 5.8, hkl 4 0 1
68.9 deg, I 12.4, hkl 4 1 0

Structure:
Cell lengths 7.2157, 7.2157, 3.3628 Å; angles 90.00, 90.00, 120.00 degrees
Space group P-62m (No. 189)
Asymmetric unit:
Li 0.0000 0.2737 0.0000 (multiplicity 3)
Li 0.0000 0.6071 0.5000 (multiplicity 3)
Au 0.0000 0.0000 0.5000 (multiplicity 1)
Au 0.3333 0.6667 0.0000 (multiplicity 2)

=====

Structure and calculated PXRD pattern of Hf4Ru2Rh (a cell relaxed with PBE; Cu Kα X-rays).
Lines closer than 0.1° are merged.

Top 12 peaks for 5 to 70 degrees two-theta, by angle:
19.5 deg, I 6.6, hkl 1 0 1
27.6 deg, I 12.5, hkl 2 0 0
27.8 deg, I 6.2, hkl 0 0 2
34.1 deg, I 3.2, hkl 2 1 1
39.6 deg, I 100.0, hkl 2 2 0
44.4 deg, I 1.0, hkl 3 0 1
49.0 deg, I 5.5, hkl 2 2 2
53.1 deg, I 1.1, hkl 3 2 1
57.1 deg, I 11.4, hkl 4 0 0
57.4 deg, I 5.6, hkl 0 0 4
64.6 deg, I 4.9, hkl 4 2 0
64.8 deg, I 2.4, hkl 2 0 4

Structure:
Cell lengths 6.4547, 6.4547, 6.4242 Å; angles 90.00, 90.00, 90.00 degrees
Space group I4/mmm (No. 139)
Asymmetric unit:
Hf 0.2500 0.2500 0.2500 (multiplicity 8)
Ru 0.0000 0.5000 0.0000 (multiplicity 4)
Rh 0.0000 0.0000 0.0000 (multiplicity 2)

=====

Structure and calculated PXRD pattern of Rb4OsO6 (a cell relaxed with PBE; Cu Kα X-rays).
Lines closer than 0.1° are merged.

Top 12 peaks for 5 to 70 degrees two-theta, by angle:
16.2 deg, I 49.4, hkl 0 1 2
16.6 deg, I 55.3, hkl 1 1 0
25.7 deg, I 46.4, hkl 1 1 3
27.9 deg, I 21.9, hkl 1 0 4
28.9 deg, I 100.0, hkl 3 0 0
32.6 deg, I 32.3, hkl 0 2 4
36.8 deg, I 39.5, hkl 2 1 4
39.1 deg, I 28.3, hkl 2 2 3
44.2 deg, I 11.8, hkl 1 3 4
50.6 deg, I 28.1, hkl 3 2 4
51.3 deg, I 16.3, hkl 3 3 0
60.0 deg, I 13.1, hkl 6 0 0

Structure:
Cell lengths 10.6898, 10.6898, 13.6295 Å; angles 90.00, 90.00, 120.00 degrees
Space group R-3c (No. 167, hexagonal axes)
Asymmetric unit:
Rb 0.0000 0.0000 0.2500 (multiplicity 6)
Rb 0.0000 0.3632 0.2500 (multiplicity 18)
Os 0.0000 0.0000 0.0000 (multiplicity 6)
O 0.0179 0.1524 0.4198 (multiplicity 36)

=====

Structure and calculated PXRD pattern of BaBi2Br2O2 (a cell relaxed with PBE; Cu Kα X-rays).
Lines closer than 0.1° are merged.

Top 12 peaks for 5 to 70 degrees two-theta, by angle:
8.1 deg, I 28.8, hkl 0 0 2
16.3 deg, I 12.2, hkl 0 0 4
24.7 deg, I 55.6, hkl 1 0 3
29.7 deg, I 100.0, hkl 1 0 5
30.4 deg, I 65.3, hkl 1 1 0
36.1 deg, I 13.9, hkl 1 0 7
39.5 deg, I 14.3, hkl 1 1 6
43.5 deg, I 29.7, hkl 2 0 0
45.5 deg, I 13.2, hkl 1 1 8
50.6 deg, I 19.4, hkl 2 1 3
51.2 deg, I 13.9, hkl 1 0 11
53.6 deg, I 39.1, hkl 2 1 5

Structure:
Cell lengths 4.1608, 4.1608, 21.7088 Å; angles 90.00, 90.00, 90.00 degrees
Space group I4mm (No. 107)
Asymmetric unit:
Ba 0.0000 0.0000 0.0000 (multiplicity 2)
Bi 0.0000 0.0000 0.3501 (multiplicity 2)
Bi 0.0000 0.0000 0.7408 (multiplicity 2)
Br 0.0000 0.0000 0.1591 (multiplicity 2)
Br 0.0000 0.0000 0.5514 (multiplicity 2)
O 0.0000 0.5000 0.2918 (multiplicity 4)

=====

Structure and calculated PXRD pattern of TmLuScTl (a cell relaxed with PBE; Cu Kα X-rays).
Lines closer than 0.1° are merged.

Top 10 peaks for 5 to 70 degrees two-theta, by angle:
20.6 deg, I 10.4, hkl 1 1 1
23.8 deg, I 8.9, hkl 2 0 0
33.9 deg, I 100.0, hkl 2 2 0
40.0 deg, I 6.0, hkl 3 1 1
41.9 deg, I 2.9, hkl 2 2 2
48.8 deg, I 18.1, hkl 4 0 0
53.5 deg, I 2.7, hkl 3 3 1
55.0 deg, I 4.0, hkl 4 2 0
60.7 deg, I 37.6, hkl 4 2 2
64.9 deg, I 2.1, hkl 5 1 1

Structure:
Cell lengths 7.4696, 7.4696, 7.4696 Å; angles 90.00, 90.00, 90.00 degrees
Space group F-43m (No. 216)
Asymmetric unit:
Tm 0.0000 0.0000 0.0000 (multiplicity 4)
Lu 0.2500 0.2500 0.7500 (multiplicity 4)
Sc 0.0000 0.0000 0.5000 (multiplicity 4)
Tl 0.2500 0.2500 0.2500 (multiplicity 4)

=====

Structure and calculated PXRD pattern of Cs4PuF10 (a cell relaxed with PBE; Cu Kα X-rays).
Lines closer than 0.1° are merged.

Top 12 peaks for 5 to 70 degrees two-theta, by angle:
12.0 deg, I 7.8, hkl 1 1 0
15.8 deg, I 9.2, hkl 1 0 1
23.3 deg, I 100.0, hkl 1 2 1
27.0 deg, I 31.3, hkl 0 0 2
38.5 deg, I 53.2, hkl 3 1 2
45.5 deg, I 46.9, hkl 4 3 1
47.6 deg, I 11.6, hkl 2 4 2
55.6 deg, I 5.3, hkl 6 2 0
61.1 deg, I 22.8, hkl 5 0 3
62.7 deg, I 5.8, hkl 3 1 4
62.9 deg, I 11.4, hkl 5 5 0
69.7 deg, I 10.1, hkl 1 7 2

Structure:
Cell lengths 10.4480, 10.4480, 6.6260 Å; angles 90.00, 90.00, 90.00 degrees
Space group I4/m (No. 87)
Asymmetric unit:
Cs 0.1008 0.6992 0.0000 (multiplicity 8)
Pu 0.0000 0.0000 0.5000 (multiplicity 2)
F 0.0000 0.5000 0.2500 (multiplicity 4)
F 0.0783 0.1494 0.3119 (multiplicity 16)

=====

Structure and calculated PXRD pattern of MnTe2Au (a cell relaxed with PBE; Cu Kα X-rays).
Lines closer than 0.1° are merged.

Top 12 peaks for 5 to 70 degrees two-theta, by angle:
12.5 deg, I 100.0, hkl 0 0 1
26.1 deg, I 21.5, hkl 1 1 0
29.2 deg, I 29.5, hkl 2 0 -2
31.2 deg, I 93.4, hkl 1 1 1
32.7 deg, I 52.0, hkl 1 1 -2
33.8 deg, I 24.8, hkl 2 1 -1
35.3 deg, I 25.9, hkl 2 1 0
38.2 deg, I 17.0, hkl 0 0 3
42.1 deg, I 50.1, hkl 1 1 -3
44.0 deg, I 24.8, hkl 2 0 2
44.4 deg, I 35.3, hkl 3 1 -1
45.4 deg, I 31.6, hkl 0 2 0

Structure:
Cell lengths 7.1387, 3.9916, 7.6383 Å; angles 90.00, 112.14, 90.00 degrees
Space group P2_1/m (No. 11)
Asymmetric unit:
Mn 0.1153 0.2500 0.1187 (multiplicity 2)
Te 0.0009 0.7500 0.2758 (multiplicity 2)
Te 0.4992 0.7500 0.7124 (multiplicity 2)
Au 0.3184 0.7500 0.9855 (multiplicity 2)

=====

Structure and calculated PXRD pattern of B2P (a cell relaxed with PBE; Cu Kα X-rays).
Lines closer than 0.1° are merged.

Top 12 peaks for 5 to 70 degrees two-theta, by angle:
20.5 deg, I 59.5, hkl 0 1 0
25.5 deg, I 34.0, hkl 0 1 1
30.6 deg, I 62.9, hkl 1 0 0
31.7 deg, I 98.2, hkl 1 1 1
32.3 deg, I 100.0, hkl 0 1 -1
40.6 deg, I 67.3, hkl 1 -1 0
41.5 deg, I 61.4, hkl 0 0 2
42.1 deg, I 46.1, hkl 0 1 2
42.3 deg, I 48.1, hkl 0 2 1
46.9 deg, I 30.4, hkl 1 2 0
58.6 deg, I 25.2, hkl 2 1 1
64.6 deg, I 26.4, hkl 1 1 -2

Structure:
Cell lengths 3.1575, 4.6243, 4.7215 Å; angles 72.77, 71.08, 73.82 degrees
Space group P1 (No. 1)
Asymmetric unit:
B 0.0000 0.0000 0.0000 (multiplicity 1)
B 0.1122 0.2258 0.6260 (multiplicity 1)
B 0.4459 0.5136 0.4880 (multiplicity 1)
B 0.7988 0.6172 0.6502 (multiplicity 1)
P 0.5860 0.7333 0.0456 (multiplicity 1)
P 0.8147 0.0697 0.4116 (multiplicity 1)